[1]
# DyTm2Sc3P2Os
Computed X-ray diffraction stick pattern, Cu Ka. Input: a DFT-relaxed cell (PBE, OQMD).
Neutral-atom scattering factors, no anomalous dispersion.

Principal peaks in the range 5° ≤ 2θ ≤ 70°, low angle first:
2θ 21.94, rel. 40
2θ 24.15, rel. 23
2θ 27.95, rel. 52
2θ 32.85, rel. 64
2θ 35.81, rel. 100
2θ 37.23, rel. 21
2θ 43.65, rel. 22
2θ 44.73, rel. 21

Lattice parameters (Å, degrees): 4.0518 12.7883 7.3608 90.00 90.00 90.00
Space group Amm2 (No. 38)
Unique sites:
Dy 0.0000 0.0000 0.0000 [2 per cell]
Tm 0.0000 0.2059 0.6179 [4 per cell]
Sc 0.5000 0.0000 0.6606 [2 per cell]
Sc 0.5000 0.1201 0.2919 [4 per cell]
P 0.5000 0.1688 0.9122 [4 per cell]
Os 0.0000 0.0000 0.4213 [2 per cell]


[2]
# Nb4Ge5Pt5
Computed X-ray diffraction stick pattern, Cu Ka. Input: a DFT-relaxed cell (PBE, OQMD).
Neutral-atom scattering factors, no anomalous dispersion.

Principal peaks in the range 5° ≤ 2θ ≤ 70°, low angle first:
2θ 25.52, rel. 100
2θ 42.24, rel. 84
2θ 42.35, rel. 41
2θ 49.91, rel. 17
2θ 50.10, rel. 31
2θ 61.11, rel. 7
2θ 61.44, rel. 13
2θ 67.48, rel. 12

Lattice parameters (Å, degrees): 9.5444 9.5444 6.0657 90.00 90.00 90.00
Space group I-4 (No. 82)
Unique sites:
Nb 0.0996 0.2996 0.9997 [8 per cell]
Ge 0.0000 0.0000 0.0000 [2 per cell]
Ge 0.0920 0.2846 0.5042 [8 per cell]
Pt 0.0000 0.5000 0.7500 [2 per cell]
Pt 0.1047 0.7897 0.2363 [8 per cell]


[3]
# ZnSbPb2
Computed X-ray diffraction stick pattern, Cu Ka. Input: a DFT-relaxed cell (PBE, OQMD).
Neutral-atom scattering factors, no anomalous dispersion.

Principal peaks in the range 5° ≤ 2θ ≤ 70°, low angle first:
2θ 20.21, rel. 15
2θ 33.30, rel. 100
2θ 39.26, rel. 9
2θ 47.80, rel. 18
2θ 52.40, rel. 4
2θ 59.50, rel. 38
2θ 63.51, rel. 3
2θ 69.92, rel. 12

Lattice parameters (Å, degrees): 7.6110 7.6110 7.6110 90.00 90.00 90.00
Space group F-43m (No. 216)
Unique sites:
Zn 0.0000 0.0000 0.0000 [4 per cell]
Sb 0.2500 0.2500 0.2500 [4 per cell]
Pb 0.0000 0.0000 0.5000 [4 per cell]
Pb 0.2500 0.2500 0.7500 [4 per cell]


[4]
# Tb3TmPd4
Computed X-ray diffraction stick pattern, Cu Ka. Input: a DFT-relaxed cell (PBE, OQMD).
Neutral-atom scattering factors, no anomalous dispersion.

Principal peaks in the range 5° ≤ 2θ ≤ 70°, low angle first:
2θ 32.43, rel. 100
2θ 34.46, rel. 40
2θ 34.64, rel. 38
2θ 36.20, rel. 59
2θ 36.37, rel. 64
2θ 39.57, rel. 68
2θ 39.89, rel. 49
2θ 40.05, rel. 47

Lattice parameters (Å, degrees): 5.5990 4.5545 6.9410 90.00 90.42 90.00
Space group Pm (No. 6)
Unique sites:
Tb 0.0000 0.0000 0.0000 [1 per cell]
Tb 0.2140 0.0000 0.4989 [1 per cell]
Tb 0.5019 0.5000 0.8639 [1 per cell]
Tm 0.7156 0.5000 0.3629 [1 per cell]
Pd 0.0107 0.5000 0.7207 [1 per cell]
Pd 0.2027 0.5000 0.2248 [1 per cell]
Pd 0.5162 0.0000 0.1462 [1 per cell]
Pd 0.7026 0.0000 0.6321 [1 per cell]


[5]
# TmSnTe2AuSe
Computed X-ray diffraction stick pattern, Cu Ka. Input: a DFT-relaxed cell (PBE, OQMD).
Neutral-atom scattering factors, no anomalous dispersion.

Principal peaks in the range 5° ≤ 2θ ≤ 70°, low angle first:
2θ 12.03, rel. 33
2θ 27.84, rel. 31
2θ 29.16, rel. 47
2θ 32.82, rel. 100
2θ 34.45, rel. 30
2θ 40.65, rel. 16
2θ 41.19, rel. 27
2θ 42.75, rel. 28

Lattice parameters (Å, degrees): 4.2306 14.7196 10.4125 90.00 90.00 90.00
Space group Cmcm (No. 63)
Unique sites:
Tm 0.0000 0.0000 0.0000 [4 per cell]
Sn 0.0000 0.2505 0.2500 [4 per cell]
Te 0.0000 0.3494 0.5524 [8 per cell]
Au 0.0000 0.4751 0.7500 [4 per cell]
Se 0.0000 0.0873 0.7500 [4 per cell]


[6]
# Nd2SmAg4Sn4
Computed X-ray diffraction stick pattern, Cu Ka. Input: a DFT-relaxed cell (PBE, OQMD).
Neutral-atom scattering factors, no anomalous dispersion.

Principal peaks in the range 5° ≤ 2θ ≤ 70°, low angle first:
2θ 31.26, rel. 27
2θ 31.50, rel. 100
2θ 32.36, rel. 84
2θ 34.66, rel. 30
2θ 38.54, rel. 47
2θ 40.73, rel. 27
2θ 42.74, rel. 32
2θ 57.32, rel. 19

Lattice parameters (Å, degrees): 4.6714 7.3532 15.5294 90.00 90.00 90.00
Space group Immm (No. 71)
Unique sites:
Nd 0.0000 0.0000 0.1287 [4 per cell]
Sm 0.0000 0.5000 0.0000 [2 per cell]
Ag 0.0000 0.1966 0.3293 [8 per cell]
Sn 0.0000 0.3029 0.5000 [4 per cell]
Sn 0.0000 0.5000 0.2138 [4 per cell]


[7]
# BaZn2GePt
Computed X-ray diffraction stick pattern, Cu Ka. Input: a DFT-relaxed cell (PBE, OQMD).
Neutral-atom scattering factors, no anomalous dispersion.

Principal peaks in the range 5° ≤ 2θ ≤ 70°, low angle first:
2θ 28.04, rel. 46
2θ 31.97, rel. 100
2θ 32.72, rel. 95
2θ 40.07, rel. 81
2θ 44.17, rel. 32
2θ 46.92, rel. 45
2θ 52.15, rel. 50
2θ 63.36, rel. 37

Lattice parameters (Å, degrees): 4.5008 4.5008 10.7257 90.00 90.00 90.00
Space group I4mm (No. 107)
Unique sites:
Ba 0.0000 0.0000 0.0000 [2 per cell]
Zn 0.0000 0.5000 0.2505 [4 per cell]
Ge 0.0000 0.0000 0.6184 [2 per cell]
Pt 0.0000 0.0000 0.3798 [2 per cell]


[8]
# Nd2Ho2CCl5
Computed X-ray diffraction stick pattern, Cu Ka. Input: a DFT-relaxed cell (PBE, OQMD).
Neutral-atom scattering factors, no anomalous dispersion.

Principal peaks in the range 5° ≤ 2θ ≤ 70°, low angle first:
2θ 10.54, rel. 62
2θ 11.70, rel. 82
2θ 28.74, rel. 42
2θ 31.98, rel. 54
2θ 32.70, rel. 29
2θ 33.16, rel. 100
2θ 46.12, rel. 29
2θ 47.34, rel. 35

Lattice parameters (Å, degrees): 17.3871 3.7348 7.8328 90.00 105.05 90.00
Space group C2/m (No. 12)
Unique sites:
Nd 0.1496 0.0000 0.0898 [4 per cell]
Ho 0.0006 0.5000 0.7900 [4 per cell]
C 0.0000 0.0000 0.0000 [2 per cell]
Cl 0.0000 0.0000 0.5000 [2 per cell]
Cl 0.1585 0.5000 0.3631 [4 per cell]
Cl 0.1644 0.5000 0.8221 [4 per cell]


[9]
# Y2CuGe2Au
Computed X-ray diffraction stick pattern, Cu Ka. Input: a DFT-relaxed cell (PBE, OQMD).
Neutral-atom scattering factors, no anomalous dispersion.

Principal peaks in the range 5° ≤ 2θ ≤ 70°, low angle first:
2θ 12.08, rel. 16
2θ 23.43, rel. 10
2θ 26.44, rel. 24
2θ 34.01, rel. 100
2θ 41.18, rel. 68
2θ 44.09, rel. 17
2θ 54.44, rel. 26
2θ 66.53, rel. 19

Lattice parameters (Å, degrees): 4.3837 4.3837 7.3263 90.00 90.00 120.00
Space group P3m1 (No. 156)
Unique sites:
Y 0.0000 0.0000 0.0000 [1 per cell]
Y 0.0000 0.0000 0.4914 [1 per cell]
Cu 0.3333 0.6667 0.2750 [1 per cell]
Ge 0.3333 0.6667 0.7006 [1 per cell]
Ge 0.6667 0.3333 0.2214 [1 per cell]
Au 0.6667 0.3333 0.7793 [1 per cell]


[10]
# Li4HgGe2Pt
Computed X-ray diffraction stick pattern, Cu Ka. Input: a DFT-relaxed cell (PBE, OQMD).
Neutral-atom scattering factors, no anomalous dispersion.

Principal peaks in the range 5° ≤ 2θ ≤ 70°, low angle first:
2θ 24.68, rel. 100
2θ 28.81, rel. 12
2θ 40.69, rel. 51
2θ 41.20, rel. 25
2θ 47.72, rel. 17
2θ 48.62, rel. 33
2θ 59.67, rel. 9
2θ 64.83, rel. 14

Lattice parameters (Å, degrees): 4.3826 4.3826 6.3495 90.00 90.00 90.00
Space group P-4m2 (No. 115)
Unique sites:
Li 0.0000 0.0000 0.0000 [1 per cell]
Li 0.0000 0.5000 0.7335 [2 per cell]
Li 0.5000 0.5000 0.5000 [1 per cell]
Hg 0.5000 0.5000 0.0000 [1 per cell]
Ge 0.0000 0.5000 0.2804 [2 per cell]
Pt 0.0000 0.0000 0.5000 [1 per cell]


[11]
# AlZnSb2
Computed X-ray diffraction stick pattern, Cu Ka. Input: a DFT-relaxed cell (PBE, OQMD).
Neutral-atom scattering factors, no anomalous dispersion.

Principal peaks in the range 5° ≤ 2θ ≤ 70°, low angle first:
2θ 21.42, rel. 23
2θ 24.79, rel. 2
2θ 35.34, rel. 100
2θ 41.70, rel. 12
2θ 50.84, rel. 17
2θ 55.78, rel. 5
2θ 63.44, rel. 35
2θ 67.78, rel. 4

Lattice parameters (Å, degrees): 7.1837 7.1837 7.1837 90.00 90.00 90.00
Space group F-43m (No. 216)
Unique sites:
Al 0.0000 0.0000 0.0000 [4 per cell]
Zn 0.2500 0.2500 0.2500 [4 per cell]
Sb 0.0000 0.0000 0.5000 [4 per cell]
Sb 0.2500 0.2500 0.7500 [4 per cell]


[12]
# Sm3CuGeSe7
Computed X-ray diffraction stick pattern, Cu Ka. Input: a DFT-relaxed cell (PBE, OQMD).
Neutral-atom scattering factors, no anomalous dispersion.

Principal peaks in the range 5° ≤ 2θ ≤ 70°, low angle first:
2θ 24.33, rel. 63
2θ 29.73, rel. 60
2θ 30.80, rel. 70
2θ 32.87, rel. 56
2θ 34.03, rel. 100
2θ 35.30, rel. 60
2θ 35.46, rel. 77
2θ 39.35, rel. 63

Lattice parameters (Å, degrees): 10.5382 10.5382 6.1235 90.00 90.00 120.00
Space group P6_3 (No. 173)
Unique sites:
Sm 0.1307 0.3550 0.0000 [6 per cell]
Cu 0.0000 0.0000 0.4644 [2 per cell]
Ge 0.3333 0.6667 0.5824 [2 per cell]
Se 0.0965 0.2586 0.4781 [6 per cell]
Se 0.0964 0.5788 0.7460 [6 per cell]
Se 0.3333 0.6667 0.1976 [2 per cell]